# Pm3Y2Ho
Computed powder X-ray diffraction pattern, Cu Kα (λ = 1.5418 Å). Input: DFT lattice parameters and positions (PBE).

Principal peaks in the range 2θ = 5–70°, in order of falling intensity:
2θ (°)  Rel. int.
32.5  100.0
30.7  31.6
29.5  30.4
60.3  27.6
50.5  23.6
55.8  21.4

Atomic structure:
Lattice parameters (Å, degrees): 6.2628 6.2628 11.6337 90.00 90.00 60.00
Positions (direct):
Pm 0.0000 0.0000 0.0000
Pm 0.0000 0.0000 0.5000
Pm 0.3343 0.3343 0.0000
Pm 0.3343 0.3343 0.5000
Pm 0.6657 0.6657 0.0000
Pm 0.6657 0.6657 0.5000
Y 0.0000 0.3332 0.2500
Y 0.0000 0.6668 0.7500
Y 0.3332 0.0000 0.7500
Y 0.6668 0.0000 0.2500
Ho 0.3335 0.6665 0.2500
Ho 0.6665 0.3335 0.7500